[1]
Diffraction record for Tc8Br13O2. The PXRD pattern is computed, not measured: it uses the GGA-PBE geometry in the Materials Project and Cu Kα (weighted mean of Kα1 and Kα2).

Structure:
a = 7.857 Å, b = 14.216 Å, c = 13.561 Å
α = 90.00°, β = 110.29°, γ = 90.00°
Space group P2_1/c (No. 14)
Unique sites:
Tc 0.069 0.074 0.338 x4
Tc 0.127 0.581 0.965 x4
Tc 0.159 0.078 0.551 x4
Tc 0.220 0.576 0.181 x4
Br 0.115 0.589 0.775 x4
Br 0.125 0.151 0.188 x4
Br 0.201 0.219 0.447 x4
Br 0.267 0.720 0.085 x4
Br 0.346 0.085 0.745 x4
Br 0.392 0.644 0.356 x4
Br 0.500 0.000 0.500 x2
O 0.083 0.502 0.511 x4

Largest 10 diffraction maxima, by intensity, 5 to 70 degrees two-theta:
d_spacing  I/Imax
9.479  100
6.720  23
7.369  22
3.780  14
2.395  12
7.108  10
2.640  9
2.543  9
2.906  9
3.103  8

---

[2]
Diffraction record for Sr2La6TiCu3O16. The PXRD pattern is computed, not measured: it uses the GGA-PBE geometry in the Materials Project and Cu Kα (weighted mean of Kα1 and Kα2).

Structure:
a = 5.440 Å, b = 13.089 Å, c = 10.868 Å
α = 90.00°, β = 90.00°, γ = 90.00°
Space group Cmmm (No. 65)
Unique sites:
Sr 0.000 0.144 0.000 x4
La 0.000 0.139 0.500 x4
La 0.000 0.359 0.257 x8
Ti 0.000 0.500 0.000 x2
Cu 0.000 0.000 0.249 x4
Cu 0.000 0.500 0.500 x2
O 0.000 0.187 0.256 x8
O 0.000 0.316 0.500 x4
O 0.000 0.341 0.000 x4
O 0.245 0.500 0.127 x8
O 0.249 0.000 0.375 x8

Largest 10 diffraction maxima, by intensity, 5 to 70 degrees two-theta:
d_spacing  I/Imax
2.884  100
2.718  66
1.600  35
1.922  33
2.091  26
3.689  18
2.164  17
1.701  13
2.182  12
1.442  11

---

[3]
Diffraction record for ErSe. The PXRD pattern is computed, not measured: it uses the GGA-PBE geometry in the Materials Project and Cu Kα (weighted mean of Kα1 and Kα2).

Structure:
a = 5.709 Å, b = 5.709 Å, c = 5.709 Å
α = 90.00°, β = 90.00°, γ = 90.00°
Space group Fm-3m (No. 225)
Unique sites:
Er 0.000 0.000 0.000 x4
Se 0.000 0.000 0.500 x4

Largest 6 diffraction maxima, by intensity, 5 to 70 degrees two-theta:
d_spacing  I/Imax
2.854  100
2.018  74
1.648  26
3.296  23
1.427  12
1.721  11